Calculated PXRD pattern
Compound: LaPrNi2Hg4
Radiation: CuKα
Structure: the PBE geometry in OQMD

Main lines, most intense first (2θ from 5° to 70°):
| 2theta | I_rel |
| --- | --- |
| 31.64 | 100 |
| 37.31 | 64 |
| 34.12 | 54 |
| 61.12 | 37 |
| 35.87 | 37 |
| 42.87 | 36 |

abc: 8.2331 4.2189 10.0783
angles: 90.00 90.00 90.00
Fractional coordinates of all 16 atoms:
La1 0.0000 0.0000 0.0000
La2 0.0000 0.5000 0.5000
Pr1 0.5000 0.0000 0.1298
Pr2 0.5000 0.5000 0.6298
Ni1 0.0000 0.0000 0.2870
Ni2 0.0000 0.5000 0.7870
Ni3 0.5000 0.0000 0.8397
Ni4 0.5000 0.5000 0.3397
Hg1 0.1996 0.0000 0.7097
Hg2 0.1996 0.5000 0.2097
Hg3 0.3043 0.0000 0.4201
Hg4 0.3043 0.5000 0.9201
Hg5 0.6957 0.0000 0.4201
Hg6 0.6957 0.5000 0.9201
Hg7 0.8004 0.0000 0.7097
Hg8 0.8004 0.5000 0.2097


Calculated PXRD pattern
Compound: La2Hg2O5
Radiation: CuKα
Structure: the PBE geometry in OQMD

Main lines, most intense first (2θ from 5° to 70°):
| 2theta | I_rel |
| --- | --- |
| 29.87 | 100 |
| 32.63 | 87 |
| 41.98 | 41 |
| 29.74 | 41 |
| 28.94 | 28 |
| 57.09 | 24 |

abc: 6.8979 6.8979 6.0085
angles: 90.00 90.00 90.00
Fractional coordinates of all 18 atoms:
La1 0.0970 0.7481 0.0000
La2 0.2519 0.0970 0.5000
La3 0.7481 0.9030 0.5000
La4 0.9030 0.2519 0.0000
Hg1 0.2747 0.5882 0.5000
Hg2 0.4118 0.2747 0.0000
Hg3 0.5882 0.7253 0.0000
Hg4 0.7253 0.4118 0.5000
O1 0.0000 0.0000 0.2500
O2 0.0000 0.0000 0.7500
O3 0.1750 0.3745 0.2394
O4 0.1750 0.3745 0.7606
O5 0.3745 0.8250 0.2606
O6 0.3745 0.8250 0.7394
O7 0.6255 0.1750 0.2606
O8 0.6255 0.1750 0.7394
O9 0.8250 0.6255 0.2394
O10 0.8250 0.6255 0.7606


Calculated PXRD pattern
Compound: La3HgO
Radiation: CuKα
Structure: the PBE geometry in OQMD

Main lines, most intense first (2θ from 5° to 70°):
| 2theta | I_rel |
| --- | --- |
| 30.68 | 100 |
| 35.57 | 56 |
| 60.86 | 41 |
| 51.17 | 32 |
| 63.82 | 7 |
| 51.26 | 6 |

abc: 7.1394 7.1394 7.1394
angles: 119.92 89.98 120.10
Fractional coordinates of all 10 atoms:
La1 0.2379 0.0000 0.7379
La2 0.2379 0.5000 0.2379
La3 0.2743 0.0243 0.2500
La4 0.7257 0.9757 0.7500
La5 0.7621 0.0000 0.2621
La6 0.7621 0.5000 0.7621
Hg1 0.2493 0.4993 0.7500
Hg2 0.7507 0.5007 0.2500
O1 0.0000 0.0000 0.0000
O2 0.5000 0.0000 0.5000